Entry 1:
The following is a calculated powder XRD pattern of AcBrO. It was derived from a cell relaxed with GGA-PBE, using CuKα.
No peak broadening, texture or thermal motion is included.

Structure:
Unit cell a=4.3106 b=4.3106 c=7.6971 alpha=90.00 beta=90.00 gamma=90.00
Fractional coordinates of all 6 atoms:
Ac (0.2500, 0.2500, 0.1629)
Ac (0.7500, 0.7500, 0.8371)
Br (0.2500, 0.2500, 0.6366)
Br (0.7500, 0.7500, 0.3634)
O (0.2500, 0.7500, 0.0000)
O (0.7500, 0.2500, 0.0000)

Most intense lines, 5° ≤ 2θ ≤ 70°, by angle:
2θ = 11.50°, rel. 20, (0 0 1)
2θ = 23.66°, rel. 40, (1 0 1)
2θ = 29.30°, rel. 62, (1 1 0)
2θ = 31.15°, rel. 100, (1 0 2)
2θ = 37.64°, rel. 13, (1 1 2)
2θ = 41.92°, rel. 30, (2 0 0)
2θ = 53.14°, rel. 45, (2 1 2)
2θ = 68.92°, rel. 23, (3 1 0)

=====

Entry 2:
The following is a calculated powder XRD pattern of K8MgSi8O24. It was derived from a cell relaxed with GGA-PBE, using CuKα.
No peak broadening, texture or thermal motion is included.

Structure:
Unit cell a=7.8942 b=7.9266 c=11.0034 alpha=88.95 beta=88.66 gamma=86.15
Fractional coordinates of all 41 atoms:
K (0.0000, 0.0000, 0.0000)
K (0.0175, 0.9500, 0.5066)
K (0.2022, 0.3180, 0.7745)
K (0.3247, 0.1641, 0.2695)
K (0.4096, 0.6019, 0.4908)
K (0.5229, 0.4779, 0.0069)
K (0.6895, 0.8149, 0.2282)
K (0.8196, 0.6557, 0.7351)
Mg (0.6554, 0.2787, 0.4975)
Si (0.1940, 0.6780, 0.2340)
Si (0.3033, 0.8084, 0.7786)
Si (0.5117, 0.9940, 0.5623)
Si (0.5249, 0.0027, 0.9366)
Si (0.7321, 0.1760, 0.7300)
Si (0.8082, 0.2781, 0.2718)
Si (0.9956, 0.4775, 0.0700)
Si (0.9983, 0.4914, 0.4429)
O (0.0706, 0.6570, 0.1158)
O (0.0922, 0.4799, 0.5722)
O (0.1037, 0.8258, 0.7447)
O (0.1399, 0.5273, 0.3335)
O (0.1429, 0.3288, 0.0443)
O (0.1712, 0.8670, 0.2887)
O (0.3412, 0.9383, 0.8904)
O (0.3515, 0.6114, 0.8069)
O (0.3955, 0.6504, 0.2069)
O (0.4218, 0.1836, 0.5408)
O (0.4244, 0.8690, 0.6620)
O (0.5056, 0.0902, 0.0685)
O (0.5296, 0.9022, 0.4334)
O (0.5789, 0.1444, 0.8319)
O (0.6152, 0.3100, 0.3242)
O (0.6693, 0.8509, 0.9598)
O (0.6922, 0.3587, 0.6619)
O (0.7056, 0.0364, 0.6139)
O (0.8517, 0.4352, 0.1768)
O (0.8557, 0.6451, 0.4669)
O (0.8675, 0.0930, 0.2251)
O (0.9055, 0.4977, 0.9393)
O (0.9146, 0.3107, 0.4060)
O (0.9224, 0.1440, 0.7773)

Most intense lines, 5° ≤ 2θ ≤ 70°, by angle:
2θ = 16.41°, rel. 43, (1 -1 0)
2θ = 27.01°, rel. 34, (0 1 -3)
2θ = 27.12°, rel. 100, (-1 2 1)
2θ = 27.57°, rel. 88, (2 0 2)
2θ = 28.01°, rel. 48, (0 2 -2)
2θ = 28.17°, rel. 65, (2 0 -2)
2θ = 30.97°, rel. 70, (2 2 0)
2θ = 32.56°, rel. 34, (0 0 4)

=====

Entry 3:
The following is a calculated powder XRD pattern of Dy2CuTe2S2O14. It was derived from a cell relaxed with GGA-PBE, using CuKα.
No peak broadening, texture or thermal motion is included.

Structure:
Unit cell a=5.2064 b=7.9738 c=8.2205 alpha=62.06 beta=74.26 gamma=85.23
Fractional coordinates of all 21 atoms:
Dy (0.0706, 0.2516, 0.0178)
Dy (0.9294, 0.7484, 0.9822)
Cu (0.0000, 0.0000, 0.5000)
Te (0.4905, 0.7285, 0.6546)
Te (0.5095, 0.2715, 0.3454)
S (0.2552, 0.7470, 0.2513)
S (0.7448, 0.2530, 0.7487)
O (0.1420, 0.7456, 0.4358)
O (0.1447, 0.5863, 0.2409)
O (0.1759, 0.9214, 0.0928)
O (0.2504, 0.5604, 0.8904)
O (0.2507, 0.9280, 0.6585)
O (0.2690, 0.1877, 0.2550)
O (0.4493, 0.2613, 0.7853)
O (0.5507, 0.7387, 0.2147)
O (0.7310, 0.8123, 0.7450)
O (0.7493, 0.0720, 0.3415)
O (0.7496, 0.4396, 0.1096)
O (0.8241, 0.0786, 0.9072)
O (0.8553, 0.4137, 0.7591)
O (0.8580, 0.2544, 0.5642)

Most intense lines, 5° ≤ 2θ ≤ 70°, by angle:
2θ = 13.05°, rel. 65, (0 1 1)
2θ = 24.44°, rel. 65, (1 0 -1)
2θ = 24.66°, rel. 74, (1 1 2)
2θ = 25.32°, rel. 100, (0 2 0)
2θ = 26.95°, rel. 48, (1 0 2)
2θ = 29.98°, rel. 74, (-1 2 1)
2θ = 34.90°, rel. 78, (1 0 -2)
2θ = 38.54°, rel. 42, (2 -1 1)